Simulated XRD peak list
Compound: Li9Cr5O12
Radiation: Cu Kα (weighted mean of Kα1 and Kα2)
Structure: a structure optimized by DFT (GGA+U)

Atomic structure:
abc: 5.1823 9.0689 10.0446
angles: 90.00 96.93 90.00
Space group Cm (No. 8)
Symmetry-distinct sites (fractional):
Li  0.0000  0.0000  0.0000
Li  0.0179  0.5000  0.6126
Li  0.0671  0.0000  0.5545
Li  0.1837  0.2778  0.5571
Li  0.2606  0.0000  0.8068
Li  0.3328  0.2782  0.0559
Li  0.4517  0.0000  0.0594
Cr  0.2589  0.1652  0.3065
Cr  0.2594  0.3308  0.8065
Cr  0.2590  0.5000  0.3065
O  0.0672  0.3342  0.1982
O  0.0697  0.0000  0.1997
O  0.1082  0.1740  0.9255
O  0.1516  0.5000  0.9215
O  0.3653  0.5000  0.6919
O  0.4091  0.1736  0.6870
O  0.4483  0.0000  0.4131
O  0.4505  0.3343  0.4148

Most intense lines, 2θ from 5° to 70°, sorted by position:
index, two_theta, I_rel
0 0 2, 17.8, 100
1 3 -1, 35.0, 18
1 3 1, 36.2, 18
1 3 -3, 42.8, 23
1 3 3, 45.5, 28
3 3 -1, 61.9, 16